Entry 1:
Theoretical powder diffractogram
Compound: BaMg6NiO8
Radiation: λ = 1.5418 Å (Cu Kα)
Structure: a structure optimized by DFT (PBE+U)
Intensities are scaled so that the largest is 100.

Top 10 peaks for 15° ≤ 2θ ≤ 90°, low angle first:
2θ/deg	d_spacing	I_rel
20.17	4.403	26
27.14	3.286	24
29.00	3.079	41
34.04	2.633	59
38.76	2.323	100
40.99	2.202	39
55.97	1.643	31
57.68	1.598	52
67.15	1.394	20
71.67	1.317	25

Cell and atoms:
Unit cell a=4.6470 b=4.6470 c=8.8064 alpha=90.00 beta=90.00 gamma=90.00
Space group P4/mmm (No. 123)
Symmetry-distinct sites (fractional):
Ba (0.0000, 0.0000, 0.0000)
Mg (0.0000, 0.0000, 0.5000)
Mg (0.0000, 0.5000, 0.2646)
Mg (0.5000, 0.5000, 0.5000)
Ni (0.5000, 0.5000, 0.0000)
O (0.0000, 0.0000, 0.2826)
O (0.0000, 0.5000, 0.0000)
O (0.0000, 0.5000, 0.5000)
O (0.5000, 0.5000, 0.2523)

=====

Entry 2:
Theoretical powder diffractogram
Compound: Ba2MgNi2O6
Radiation: λ = 1.5418 Å (Cu Kα)
Structure: a structure optimized by DFT (PBE+U)
Intensities are scaled so that the largest is 100.

Top 10 peaks for 15° ≤ 2θ ≤ 90°, low angle first:
2θ/deg	d_spacing	I_rel
23.04	3.860	91
27.44	3.251	44
29.93	2.985	55
30.26	2.953	100
32.15	2.784	32
32.53	2.753	60
33.10	2.706	47
42.88	2.109	48
47.09	1.930	58
47.92	1.898	31

Cell and atoms:
Unit cell a=11.2822 b=5.5051 c=5.4552 alpha=90.00 beta=111.49 gamma=90.00
Space group Cm (No. 8)
Symmetry-distinct sites (fractional):
Ba (0.0000, 0.0000, 0.0000)
Ba (0.1036, 0.5000, 0.6296)
Mg (0.3368, 0.5000, 0.3599)
Ni (0.2854, 0.0000, 0.8493)
Ni (0.2973, 0.0000, 0.3390)
O (0.0325, 0.0000, 0.5115)
O (0.2347, 0.2419, 0.0772)
O (0.3204, 0.2338, 0.6020)
O (0.4451, 0.0000, 0.1607)

=====

Entry 3:
Theoretical powder diffractogram
Compound: Ba2MgNi2O6
Radiation: λ = 1.5418 Å (Cu Kα)
Structure: a structure optimized by DFT (PBE+U)
Intensities are scaled so that the largest is 100.

Top 10 peaks for 15° ≤ 2θ ≤ 90°, low angle first:
2θ/deg	d_spacing	I_rel
23.43	3.798	100
27.35	3.261	62
29.94	2.984	82
30.37	2.943	88
32.34	2.768	72
32.58	2.748	36
34.37	2.609	50
43.11	2.099	45
43.49	2.081	62
47.91	1.899	65

Cell and atoms:
Unit cell a=11.2494 b=5.5370 c=5.2766 alpha=90.00 beta=109.11 gamma=90.00
Space group C2/m (No. 12)
Symmetry-distinct sites (fractional):
Ba (0.2072, 0.0000, 0.1896)
Mg (0.0000, 0.0000, 0.5000)
Ni (0.0000, 0.5000, 0.0000)
Ni (0.0000, 0.5000, 0.5000)
O (0.0653, 0.2617, 0.7672)
O (0.1543, 0.5000, 0.2963)

=====

Entry 4:
Theoretical powder diffractogram
Compound: Ba2MgNi2O6
Radiation: λ = 1.5418 Å (Cu Kα)
Structure: a structure optimized by DFT (PBE+U)
Intensities are scaled so that the largest is 100.

Top 10 peaks for 15° ≤ 2θ ≤ 90°, low angle first:
2θ/deg	d_spacing	I_rel
23.91	3.722	84
31.00	2.885	100
36.90	2.436	51
39.52	2.280	56
48.94	1.861	36
51.06	1.789	19
55.14	1.666	19
59.07	1.564	32
64.61	1.442	18
75.74	1.256	15

Cell and atoms:
Unit cell a=5.7697 b=5.7697 c=5.5795 alpha=90.00 beta=90.00 gamma=120.00
Space group P-6m2 (No. 187)
Symmetry-distinct sites (fractional):
Ba (0.0000, 0.0000, 0.0000)
Ba (0.3333, 0.6667, 0.5000)
Mg (0.3333, 0.6667, 0.0000)
Ni (0.6667, 0.3333, 0.2545)
O (0.3634, 0.1817, 0.5000)
O (0.5154, 0.0309, 0.0000)